(1)
Structure and computed powder diffraction line list of GdZnNiPb (a cell relaxed with PBE; Cu Kα (weighted mean of Kα1 and Kα2)).

Structure:
Cell: 6.847 6.847 6.847 Å, 90.00 90.00 90.00°
Space group F-43m (No. 216)
Symmetry-distinct sites (fractional):
Gd: 0.000 0.000 0.000 [4 per cell]
Zn: 0.250 0.250 0.250 [4 per cell]
Ni: 0.250 0.250 0.750 [4 per cell]
Pb: 0.000 0.000 0.500 [4 per cell]

Most intense lines, 2θ = 5–70°, sorted by position:
2theta  intensity  index
22.49  2  1 1 1
26.03  25  2 0 0
37.14  100  2 2 0
43.85  1  3 1 1
45.91  8  2 2 2
53.53  17  4 0 0
58.78  1  3 3 1
60.46  11  4 2 0
66.95  35  4 2 2

(2)
Structure and computed powder diffraction line list of GdNi2Pt (a cell relaxed with PBE; Cu Kα (weighted mean of Kα1 and Kα2)).

Structure:
Cell: 4.051 4.051 3.835 Å, 90.00 90.00 90.00°
Space group P4/mmm (No. 123)
Symmetry-distinct sites (fractional):
Gd: 0.000 0.000 0.000 [1 per cell]
Ni: 0.000 0.500 0.500 [2 per cell]
Pt: 0.500 0.500 0.000 [1 per cell]

Most intense lines, 2θ = 5–70°, sorted by position:
2theta  intensity  index
21.94  1  1 0 0
23.19  19  0 0 1
31.22  19  1 1 0
39.25  100  1 1 1
44.74  34  2 0 0
47.41  15  0 0 2
50.98  10  2 0 1
57.86  7  1 1 2
65.12  11  2 2 0
67.22  20  2 0 2

(3)
Structure and computed powder diffraction line list of GdSiNi (a cell relaxed with PBE; Cu Kα (weighted mean of Kα1 and Kα2)).

Structure:
Cell: 4.0691 4.0691 3.8596 Å, 90.00 90.00 120.00°
Space group P-6m2 (No. 187)
Symmetry-distinct sites (fractional):
Gd: 0.0000 0.0000 0.0000 [1 per cell]
Si: 0.6667 0.3333 0.5000 [1 per cell]
Ni: 0.3333 0.6667 0.5000 [1 per cell]

Most intense lines, 2θ = 5–70°, sorted by position:
2theta  intensity  index
23.04  4  0 0 1
25.27  33  1 0 0
34.46  100  1 0 1
44.53  36  1 1 0
47.09  10  0 0 2
50.72  3  1 1 1
51.89  5  2 0 0
54.19  9  1 0 2
57.50  23  2 0 1
66.82  21  1 1 2